[1]
This entry pairs a crystal structure of Ho2Sc2CBr4Cl with its computed powder X-ray diffraction pattern. Radiation: Cu Kα X-rays. Structure: a cell relaxed with GGA-PBE.
Peak positions follow from Bragg's law for the DFT cell and can differ from measured ones.

Structure:
abc: 9.087 9.087 7.800
angles: 102.07 102.07 23.33
Element x y z (fractional)
Ho 0.001 0.001 0.291
Ho 0.999 0.999 0.709
Sc 0.371 0.371 0.434
Sc 0.629 0.629 0.566
C 0.500 0.500 0.500
Br 0.163 0.163 0.828
Br 0.167 0.167 0.338
Br 0.833 0.833 0.662
Br 0.837 0.837 0.172
Cl 0.500 0.500 0.000

Top 12 peaks for 5 to 70 degrees two-theta, sorted by position:
Position (°2θ), intensity
10.17, 64
11.61, 26
23.38, 51
24.76, 56
30.85, 56
33.50, 100
34.65, 19
35.54, 36
46.09, 32
46.28, 32
49.61, 18
59.58, 17

***

[2]
This entry pairs a crystal structure of MgFeCuS3 with its computed powder X-ray diffraction pattern. Radiation: Cu Kα X-rays. Structure: a cell relaxed with GGA-PBE.
Peak positions follow from Bragg's law for the DFT cell and can differ from measured ones.

Structure:
abc: 6.114 6.114 8.915
angles: 90.00 90.00 147.54
Element x y z (fractional)
Mg 0.248 0.752 0.750
Mg 0.752 0.248 0.250
Fe 0.000 0.000 0.000
Fe 0.000 0.000 0.500
Cu 0.456 0.544 0.250
Cu 0.544 0.456 0.750
S 0.085 0.915 0.250
S 0.364 0.636 0.035
S 0.364 0.636 0.465
S 0.636 0.364 0.535
S 0.636 0.364 0.965
S 0.915 0.085 0.750

Top 12 peaks for 5 to 70 degrees two-theta, sorted by position:
Position (°2θ), intensity
15.09, 80
33.92, 15
34.85, 9
36.32, 50
40.46, 100
43.43, 11
46.68, 13
50.97, 14
51.47, 21
53.62, 17
63.45, 14
69.28, 12

***

[3]
This entry pairs a crystal structure of K4YTm with its computed powder X-ray diffraction pattern. Radiation: Cu Kα X-rays. Structure: a cell relaxed with GGA-PBE.
Peak positions follow from Bragg's law for the DFT cell and can differ from measured ones.

Structure:
abc: 7.262 3.921 21.138
angles: 90.00 90.00 90.00
Element x y z (fractional)
K 0.000 0.000 0.000
K 0.000 0.000 0.327
K 0.000 0.000 0.656
K 0.000 0.500 0.156
K 0.000 0.500 0.500
K 0.000 0.500 0.827
K 0.500 0.000 0.829
K 0.500 0.500 0.329
Y 0.500 0.000 0.143
Y 0.500 0.500 0.643
Tm 0.500 0.000 0.514
Tm 0.500 0.500 0.014

Top 12 peaks for 5 to 70 degrees two-theta, sorted by position:
Position (°2θ), intensity
8.37, 55
12.19, 33
14.80, 29
24.52, 41
25.28, 28
25.98, 19
28.81, 100
33.52, 17
35.50, 22
45.90, 26
46.79, 13
59.69, 15

***

[4]
This entry pairs a crystal structure of RbY2AuO4 with its computed powder X-ray diffraction pattern. Radiation: Cu Kα X-rays. Structure: a cell relaxed with GGA-PBE.
Peak positions follow from Bragg's law for the DFT cell and can differ from measured ones.

Structure:
abc: 3.523 3.523 13.405
angles: 90.00 90.00 120.00
Element x y z (fractional)
Rb 0.000 0.000 0.000
Y 0.333 0.667 0.272
Y 0.333 0.667 0.728
Au 0.667 0.333 0.500
O 0.000 0.000 0.189
O 0.000 0.000 0.811
O 0.667 0.333 0.348
O 0.667 0.333 0.652

Top 12 peaks for 5 to 70 degrees two-theta, sorted by position:
Position (°2θ), intensity
6.59, 100
26.60, 42
30.04, 83
32.23, 91
35.63, 37
45.01, 28
50.64, 23
51.90, 32
56.76, 21
59.26, 27
61.14, 11
62.42, 15

***

[5]
This entry pairs a crystal structure of Pr2SiCN2O4 with its computed powder X-ray diffraction pattern. Radiation: Cu Kα X-rays. Structure: a cell relaxed with GGA-PBE.
Peak positions follow from Bragg's law for the DFT cell and can differ from measured ones.

Structure:
abc: 6.459 6.701 6.740
angles: 85.44 72.59 73.85
Element x y z (fractional)
Pr 0.043 0.182 0.214
Pr 0.436 0.262 0.667
Pr 0.564 0.738 0.333
Pr 0.957 0.818 0.786
Si 0.458 0.795 0.815
Si 0.542 0.205 0.185
C 0.064 0.680 0.304
C 0.936 0.320 0.696
N 0.022 0.431 0.765
N 0.141 0.799 0.375
N 0.859 0.201 0.625
N 0.978 0.569 0.235
O 0.223 0.983 0.887
O 0.360 0.112 0.373
O 0.386 0.631 0.697
O 0.407 0.279 0.015
O 0.593 0.721 0.985
O 0.614 0.369 0.303
O 0.640 0.888 0.627
O 0.777 0.017 0.113

Top 12 peaks for 5 to 70 degrees two-theta, sorted by position:
Position (°2θ), intensity
19.40, 60
24.43, 24
24.81, 47
27.73, 100
29.10, 29
29.25, 27
30.09, 40
31.03, 40
31.14, 37
35.22, 28
44.09, 22
47.27, 25

***

[6]
This entry pairs a crystal structure of Ho4Lu2Bi2Os with its computed powder X-ray diffraction pattern. Radiation: Cu Kα X-rays. Structure: a cell relaxed with GGA-PBE.
Peak positions follow from Bragg's law for the DFT cell and can differ from measured ones.

Structure:
abc: 4.228 8.210 8.210
angles: 120.09 90.00 90.00
Element x y z (fractional)
Ho 0.000 0.000 0.000
Ho 0.000 0.230 0.616
Ho 0.000 0.616 0.230
Ho 0.500 0.384 0.384
Lu 0.500 0.616 0.847
Lu 0.500 0.847 0.616
Bi 0.500 0.282 0.948
Bi 0.500 0.948 0.282
Os 0.000 0.620 0.620

Top 12 peaks for 5 to 70 degrees two-theta, sorted by position:
Position (°2θ), intensity
21.66, 14
30.36, 100
32.93, 83
33.36, 51
37.98, 49
39.76, 65
42.78, 30
55.30, 24
58.52, 28
59.61, 15
60.90, 33
63.94, 18